No. 1
Theoretical powder diffractogram
Compound: Ba3TlO4
Radiation: Cu Ka
Structure: a structure optimized by DFT (GGA-PBE)
No peak broadening, texture or thermal motion is included.

Principal peaks in the range 2θ from 15° to 90°, sorted by position:
| two_theta | d/Å | I_rel |
| --- | --- | --- |
| 27.67 | 3.223 | 94 |
| 27.78 | 3.212 | 95 |
| 31.77 | 2.817 | 47 |
| 32.30 | 2.772 | 100 |
| 45.94 | 1.976 | 62 |
| 54.16 | 1.693 | 24 |
| 54.76 | 1.676 | 29 |
| 54.94 | 1.671 | 30 |

Structural model:
```
data_Ba3TlO4
_chemical_formula_sum 'Ba12 Tl4 O16'
_space_group_name_H-M_alt 'P 1 21 1'
_space_group_IT_number 4
_cell_length_a 7.860
_cell_length_b 7.818
_cell_length_c 11.267
_cell_angle_alpha 90.00
_cell_angle_beta 90.05
_cell_angle_gamma 90.00
loop_
_space_group_symop_operation_xyz
'x,y,z'
'-x,y+1/2,-z'
loop_
_atom_site_label
_atom_site_type_symbol
_atom_site_fract_x
_atom_site_fract_y
_atom_site_fract_z
Ba1 Ba 0.001 0.000 0.257
Ba2 Ba 0.231 0.251 0.001
Ba3 Ba 0.247 0.751 0.999
Ba4 Ba 0.257 0.251 0.500
Ba5 Ba 0.265 0.752 0.506
Ba6 Ba 0.499 0.504 0.243
Tl1 Tl 0.018 0.519 0.280
Tl2 Tl 0.493 0.505 0.773
O1 O 0.000 0.001 0.030
O2 O 0.001 0.000 0.508
O3 O 0.188 0.293 0.253
O4 O 0.205 0.192 0.748
O5 O 0.217 0.718 0.255
O6 O 0.285 0.715 0.752
O7 O 0.497 0.506 0.002
O8 O 0.499 0.502 0.475
```

---

No. 2
Theoretical powder diffractogram
Compound: Ag2SbI5
Radiation: Cu Ka
Structure: a structure optimized by DFT (GGA-PBE)
No peak broadening, texture or thermal motion is included.

Principal peaks in the range 2θ from 15° to 90°, sorted by position:
| two_theta | d/Å | I_rel |
| --- | --- | --- |
| 23.88 | 3.726 | 42 |
| 24.69 | 3.605 | 55 |
| 26.22 | 3.399 | 100 |
| 28.21 | 3.164 | 33 |
| 28.32 | 3.151 | 74 |
| 30.41 | 2.940 | 67 |
| 31.03 | 2.882 | 33 |
| 38.89 | 2.316 | 43 |

Structural model:
```
data_Ag2SbI5
_chemical_formula_sum 'Ag2 Sb1 I5'
_space_group_name_H-M_alt 'P 1'
_space_group_IT_number 1
_cell_length_a 7.499
_cell_length_b 7.913
_cell_length_c 8.089
_cell_angle_alpha 109.56
_cell_angle_beta 96.84
_cell_angle_gamma 117.22
loop_
_space_group_symop_operation_xyz
'x,y,z'
loop_
_atom_site_label
_atom_site_type_symbol
_atom_site_fract_x
_atom_site_fract_y
_atom_site_fract_z
Ag1 Ag 0.000 0.000 0.000
Ag2 Ag 0.321 0.342 0.386
Sb1 Sb 0.356 0.612 0.917
I1 I 0.093 0.435 0.155
I2 I 0.233 0.183 0.653
I3 I 0.403 0.059 0.110
I4 I 0.621 0.780 0.687
I5 I 0.728 0.731 0.170
```

---

No. 3
Theoretical powder diffractogram
Compound: RbHgSO6
Radiation: Cu Ka
Structure: a structure optimized by DFT (GGA-PBE)
No peak broadening, texture or thermal motion is included.

Principal peaks in the range 2θ from 15° to 90°, sorted by position:
| two_theta | d/Å | I_rel |
| --- | --- | --- |
| 18.94 | 4.686 | 20 |
| 24.04 | 3.703 | 100 |
| 24.22 | 3.675 | 48 |
| 29.58 | 3.020 | 18 |
| 32.97 | 2.717 | 16 |
| 33.39 | 2.684 | 28 |
| 45.21 | 2.006 | 35 |
| 49.34 | 1.847 | 17 |

Structural model:
```
data_RbHgSO6
_chemical_formula_sum 'Rb2 Hg2 S2 O12'
_space_group_name_H-M_alt 'C 1 2 1'
_space_group_IT_number 5
_cell_length_a 5.433
_cell_length_b 9.260
_cell_length_c 6.040
_cell_angle_alpha 90.00
_cell_angle_beta 90.23
_cell_angle_gamma 90.00
loop_
_space_group_symop_operation_xyz
'x,y,z'
'-x,y,-z'
'x+1/2,y+1/2,z'
'-x+1/2,y+1/2,-z'
loop_
_atom_site_label
_atom_site_type_symbol
_atom_site_fract_x
_atom_site_fract_y
_atom_site_fract_z
Rb1 Rb 0.000 0.000 0.000
Hg1 Hg 0.000 0.667 0.500
S1 S 0.000 0.337 0.500
O1 O 0.105 0.465 0.670
O2 O 0.115 0.219 0.670
O3 O 0.242 0.837 0.650
```

---

No. 4
Theoretical powder diffractogram
Compound: MnGaSb2
Radiation: Cu Ka
Structure: a structure optimized by DFT (GGA-PBE)
No peak broadening, texture or thermal motion is included.

Principal peaks in the range 2θ from 15° to 90°, sorted by position:
| two_theta | d/Å | I_rel |
| --- | --- | --- |
| 32.24 | 2.777 | 60 |
| 32.60 | 2.747 | 100 |
| 32.90 | 2.722 | 70 |
| 35.01 | 2.563 | 64 |
| 37.59 | 2.393 | 57 |
| 42.65 | 2.120 | 42 |
| 57.26 | 1.609 | 41 |
| 67.64 | 1.385 | 49 |

Structural model:
```
data_MnGaSb2
_chemical_formula_sum 'Mn3 Ga3 Sb6'
_space_group_name_H-M_alt 'R -3 m'
_space_group_IT_number 166
_space_group_name_Hall '-R 3 2"'
_cell_length_a 3.2178
_cell_length_b 3.2178
_cell_length_c 32.6648
_cell_angle_alpha 90.00
_cell_angle_beta 90.00
_cell_angle_gamma 120.00
loop_
_atom_site_label
_atom_site_type_symbol
_atom_site_fract_x
_atom_site_fract_y
_atom_site_fract_z
Mn1 Mn 0.0000 0.0000 0.0000
Ga1 Ga 0.0000 0.0000 0.5000
Sb1 Sb 0.0000 0.0000 0.0825
```

---

No. 5
Theoretical powder diffractogram
Compound: LaPmTm
Radiation: Cu Ka
Structure: a structure optimized by DFT (GGA-PBE)
No peak broadening, texture or thermal motion is included.

Principal peaks in the range 2θ from 15° to 90°, sorted by position:
| two_theta | d/Å | I_rel |
| --- | --- | --- |
| 29.01 | 3.078 | 75 |
| 29.84 | 2.994 | 73 |
| 30.70 | 2.912 | 100 |
| 32.51 | 2.754 | 38 |
| 33.87 | 2.647 | 69 |
| 35.35 | 2.539 | 48 |
| 50.32 | 1.813 | 46 |
| 56.21 | 1.636 | 43 |

Structural model:
```
data_LaPmTm
_chemical_formula_sum 'La2 Pm2 Tm2'
_space_group_name_H-M_alt 'P m m a'
_space_group_IT_number 51
_cell_length_a 6.551
_cell_length_b 3.487
_cell_length_c 8.983
_cell_angle_alpha 90.00
_cell_angle_beta 90.00
_cell_angle_gamma 90.00
loop_
_space_group_symop_operation_xyz
'x,y,z'
'-x,-y,-z'
'-x+1/2,-y,z'
'x+1/2,y,-z'
'x+1/2,-y,-z'
'-x+1/2,y,z'
'-x,y,-z'
'x,-y,z'
loop_
_atom_site_label
_atom_site_type_symbol
_atom_site_fract_x
_atom_site_fract_y
_atom_site_fract_z
La1 La 0.250 0.000 0.155
Pm1 Pm 0.250 0.500 0.799
Tm1 Tm 0.000 0.000 0.500
```

---

No. 6
Theoretical powder diffractogram
Compound: PuHgI6
Radiation: Cu Ka
Structure: a structure optimized by DFT (GGA-PBE)
No peak broadening, texture or thermal motion is included.

Principal peaks in the range 2θ from 15° to 90°, sorted by position:
| two_theta | d/Å | I_rel |
| --- | --- | --- |
| 15.37 | 5.764 | 67 |
| 21.83 | 4.071 | 24 |
| 27.97 | 3.190 | 52 |
| 28.43 | 3.139 | 23 |
| 28.88 | 3.092 | 100 |
| 40.58 | 2.223 | 38 |
| 40.69 | 2.218 | 37 |
| 49.73 | 1.834 | 24 |

Structural model:
```
data_PuHgI6
_chemical_formula_sum 'Pu2 Hg2 I12'
_space_group_name_H-M_alt 'C 1 2/m 1'
_space_group_IT_number 12
_cell_length_a 7.667
_cell_length_b 13.442
_cell_length_c 7.691
_cell_angle_alpha 90.00
_cell_angle_beta 112.39
_cell_angle_gamma 90.00
loop_
_space_group_symop_operation_xyz
'x,y,z'
'-x,-y,-z'
'-x,y,-z'
'x,-y,z'
'x+1/2,y+1/2,z'
'-x+1/2,-y+1/2,-z'
'-x+1/2,y+1/2,-z'
'x+1/2,-y+1/2,z'
loop_
_atom_site_label
_atom_site_type_symbol
_atom_site_fract_x
_atom_site_fract_y
_atom_site_fract_z
Pu1 Pu 0.000 0.000 0.000
Hg1 Hg 0.000 0.500 0.500
I1 I 0.228 0.000 0.768
I2 I 0.241 0.342 0.745
```

---

No. 7
Theoretical powder diffractogram
Compound: HoTm5Bi2
Radiation: Cu Ka
Structure: a structure optimized by DFT (GGA-PBE)
No peak broadening, texture or thermal motion is included.

Principal peaks in the range 2θ from 15° to 90°, sorted by position:
| two_theta | d/Å | I_rel |
| --- | --- | --- |
| 30.59 | 2.922 | 67 |
| 32.72 | 2.737 | 58 |
| 33.77 | 2.654 | 100 |
| 34.24 | 2.619 | 38 |
| 35.46 | 2.531 | 28 |
| 48.08 | 1.892 | 29 |
| 61.03 | 1.518 | 37 |
| 61.37 | 1.511 | 37 |

Structural model:
```
data_HoTm5Bi2
_chemical_formula_sum 'Ho2 Tm10 Bi4'
_space_group_name_H-M_alt 'I m m m'
_space_group_IT_number 71
_space_group_name_Hall '-I 2 2'
_cell_length_a 3.674
_cell_length_b 10.477
_cell_length_c 12.311
_cell_angle_alpha 90.00
_cell_angle_beta 90.00
_cell_angle_gamma 90.00
loop_
_atom_site_label
_atom_site_type_symbol
_atom_site_fract_x
_atom_site_fract_y
_atom_site_fract_z
Ho1 Ho 0.000 0.000 0.000
Tm1 Tm 0.000 0.220 0.364
Tm2 Tm 0.000 0.500 0.000
Bi1 Bi 0.000 0.500 0.265
```

---

No. 8
Theoretical powder diffractogram
Compound: NaCd2AgHg
Radiation: Cu Ka
Structure: a structure optimized by DFT (GGA-PBE)
No peak broadening, texture or thermal motion is included.

Principal peaks in the range 2θ from 15° to 90°, sorted by position:
| two_theta | d/Å | I_rel |
| --- | --- | --- |
| 19.51 | 4.550 | 66 |
| 28.63 | 3.118 | 34 |
| 32.10 | 2.788 | 36 |
| 36.04 | 2.492 | 61 |
| 36.75 | 2.446 | 100 |
| 37.19 | 2.417 | 77 |
| 38.54 | 2.336 | 34 |
| 65.25 | 1.430 | 28 |

Structural model:
```
data_NaCd2AgHg
_chemical_formula_sum 'Na4 Cd8 Ag4 Hg4'
_space_group_name_H-M_alt 'C m c m'
_space_group_IT_number 63
_space_group_name_Hall '-C 2c 2'
_cell_length_a 4.984
_cell_length_b 11.152
_cell_length_c 8.560
_cell_angle_alpha 90.00
_cell_angle_beta 90.00
_cell_angle_gamma 90.00
loop_
_atom_site_label
_atom_site_type_symbol
_atom_site_fract_x
_atom_site_fract_y
_atom_site_fract_z
Na1 Na 0.000 0.046 0.250
Cd1 Cd 0.000 0.229 0.581
Ag1 Ag 0.000 0.324 0.250
Hg1 Hg 0.000 0.500 0.000
```

---

No. 9
Theoretical powder diffractogram
Compound: CeTh4P6
Radiation: Cu Ka
Structure: a structure optimized by DFT (GGA-PBE)
No peak broadening, texture or thermal motion is included.

Principal peaks in the range 2θ from 15° to 90°, sorted by position:
| two_theta | d/Å | I_rel |
| --- | --- | --- |
| 24.59 | 3.621 | 80 |
| 27.12 | 3.288 | 100 |
| 31.23 | 2.864 | 44 |
| 33.37 | 2.685 | 35 |
| 35.07 | 2.559 | 29 |
| 36.93 | 2.434 | 35 |
| 47.80 | 1.903 | 34 |
| 47.91 | 1.899 | 24 |

Structural model:
```
data_CeTh4P6
_chemical_formula_sum 'Ce6 Th24 P36'
_space_group_name_H-M_alt 'R -3 c'
_space_group_IT_number 167
_space_group_name_Hall '-R 3 2"c'
_cell_length_a 11.3876
_cell_length_b 11.3876
_cell_length_c 14.0737
_cell_angle_alpha 90.00
_cell_angle_beta 90.00
_cell_angle_gamma 120.00
loop_
_atom_site_label
_atom_site_type_symbol
_atom_site_fract_x
_atom_site_fract_y
_atom_site_fract_z
Ce1 Ce 0.0000 0.0000 0.0000
Th1 Th 0.0000 0.0000 0.2500
Th2 Th 0.0000 0.3820 0.2500
P1 P 0.0284 0.2077 0.3855
```

---

No. 10
Theoretical powder diffractogram
Compound: V2ZnRh3
Radiation: Cu Ka
Structure: a structure optimized by DFT (GGA-PBE)
No peak broadening, texture or thermal motion is included.

Principal peaks in the range 2θ from 15° to 90°, sorted by position:
| two_theta | d/Å | I_rel |
| --- | --- | --- |
| 31.65 | 2.827 | 9 |
| 41.24 | 2.189 | 100 |
| 45.37 | 1.999 | 38 |
| 52.93 | 1.730 | 16 |
| 66.11 | 1.413 | 12 |
| 72.23 | 1.308 | 19 |
| 80.97 | 1.187 | 26 |
| 89.56 | 1.094 | 10 |

Structural model:
```
data_V2ZnRh3
_chemical_formula_sum 'V2 Zn1 Rh3'
_space_group_name_H-M_alt 'P 4/m m m'
_space_group_IT_number 123
_space_group_name_Hall '-P 4 2'
_cell_length_a 2.827
_cell_length_b 2.827
_cell_length_c 10.377
_cell_angle_alpha 90.00
_cell_angle_beta 90.00
_cell_angle_gamma 90.00
loop_
_atom_site_label
_atom_site_type_symbol
_atom_site_fract_x
_atom_site_fract_y
_atom_site_fract_z
V1 V 0.000 0.000 0.172
Zn1 Zn 0.000 0.000 0.500
Rh1 Rh 0.500 0.500 0.000
Rh2 Rh 0.500 0.500 0.330
```